Ce3Pu2Tc2: theoretical powder X-ray diffraction pattern (Cu Kα), based on DFT lattice parameters and positions (PBE).
Kinematic intensities with the Lorentz-polarization factor, no thermal factor.

Structural model:
Unit cell a=3.359 b=28.655 c=3.336 alpha=90.00 beta=90.00 gamma=90.00
Space group Cmmm (No. 65)
Unique sites:
Ce1 0.000 0.000 0.000 x2
Ce2 0.000 0.420 0.500 x4
Pu1 0.000 0.299 0.500 x4
Tc1 0.000 0.140 0.000 x4

Peak list (10 most intense, 5 to 70 degrees two-theta, by intensity)
hkl 1 7 0, 2θ = 34.54°, 2.597 Å, rel. 100
hkl 1 1 1, 2θ = 38.14°, 2.359 Å, rel. 66
hkl 0 8 1, 2θ = 36.81°, 2.441 Å, rel. 59
hkl 0 2 0, 2θ = 6.17°, 14.328 Å, rel. 36
hkl 1 7 2, 2θ = 66.63°, 1.404 Å, rel. 30
hkl 1 15 1, 2θ = 62.47°, 1.487 Å, rel. 28
hkl 0 14 0, 2θ = 44.23°, 2.048 Å, rel. 24
hkl 1 3 1, 2θ = 39.21°, 2.298 Å, rel. 22
hkl 0 2 1, 2θ = 27.45°, 3.249 Å, rel. 20
hkl 2 8 1, 2θ = 67.71°, 1.384 Å, rel. 20



CePu4Tc3: theoretical powder X-ray diffraction pattern (Cu Kα), based on DFT lattice parameters and positions (PBE).
Kinematic intensities with the Lorentz-polarization factor, no thermal factor.

Structural model:
Unit cell a=4.823 b=4.823 c=7.067 alpha=90.00 beta=90.00 gamma=90.00
Space group P4/mmm (No. 123)
Unique sites:
Ce1 0.000 0.000 0.000 x1
Pu1 0.000 0.500 0.265 x4
Tc1 0.000 0.000 0.500 x1
Tc2 0.500 0.500 0.000 x1
Tc3 0.500 0.500 0.500 x1

Peak list (10 most intense, 5 to 70 degrees two-theta, by intensity)
hkl 1 1 2, 2θ = 36.62°, 2.454 Å, rel. 100
hkl 2 0 0, 2θ = 37.29°, 2.411 Å, rel. 49
hkl 3 1 2, 2θ = 66.82°, 1.400 Å, rel. 35
hkl 2 2 0, 2θ = 53.76°, 1.705 Å, rel. 17
hkl 2 0 4, 2θ = 65.50°, 1.425 Å, rel. 17
hkl 1 1 0, 2θ = 26.13°, 3.410 Å, rel. 15
hkl 0 0 4, 2θ = 51.75°, 1.767 Å, rel. 9
hkl 0 0 2, 2θ = 25.21°, 3.533 Å, rel. 8
hkl 2 0 2, 2θ = 45.54°, 1.992 Å, rel. 7
hkl 3 1 0, 2θ = 60.73°, 1.525 Å, rel. 3



Ce2Pu3Tc4: theoretical powder X-ray diffraction pattern (Cu Kα), based on DFT lattice parameters and positions (PBE).
Kinematic intensities with the Lorentz-polarization factor, no thermal factor.

Structural model:
Unit cell a=8.261 b=5.034 c=8.658 alpha=90.00 beta=91.61 gamma=90.00
Space group C2/m (No. 12)
Unique sites:
Ce1 0.161 0.000 0.224 x4
Pu1 0.000 0.500 0.000 x2
Pu2 0.169 0.000 0.570 x4
Tc1 0.001 0.500 0.659 x4
Tc2 0.180 0.000 0.890 x4

Peak list (10 most intense, 5 to 70 degrees two-theta, by intensity)
hkl 3 1 0, 2θ = 37.26°, 2.413 Å, rel. 100
hkl 0 2 0, 2θ = 35.67°, 2.517 Å, rel. 29
hkl 2 0 3, 2θ = 38.57°, 2.334 Å, rel. 22
hkl 3 3 0, 2θ = 65.13°, 1.432 Å, rel. 20
hkl 2 2 3, 2θ = 53.54°, 1.711 Å, rel. 17
hkl 4 2 -3, 2θ = 66.31°, 1.410 Å, rel. 9
hkl 4 0 -3, 2θ = 53.88°, 1.702 Å, rel. 9
hkl 1 1 2, 2θ = 29.50°, 3.028 Å, rel. 8
hkl 5 1 3, 2θ = 68.87°, 1.363 Å, rel. 8
hkl 1 1 -1, 2θ = 22.97°, 3.872 Å, rel. 8



CePu2Tc: theoretical powder X-ray diffraction pattern (Cu Kα), based on DFT lattice parameters and positions (PBE).
Kinematic intensities with the Lorentz-polarization factor, no thermal factor.

Structural model:
Unit cell a=5.687 b=8.096 c=8.304 alpha=90.00 beta=90.00 gamma=90.00
Space group Cmcm (No. 63)
Unique sites:
Ce1 0.000 0.017 0.250 x4
Pu1 0.000 0.318 0.577 x8
Tc1 0.000 0.336 0.250 x4

Peak list (10 most intense, 5 to 70 degrees two-theta, by intensity)
hkl 1 1 3, 2θ = 37.82°, 2.379 Å, rel. 100
hkl 1 3 0, 2θ = 36.87°, 2.438 Å, rel. 90
hkl 2 0 0, 2θ = 31.46°, 2.844 Å, rel. 74
hkl 0 2 0, 2θ = 21.93°, 4.053 Å, rel. 30
hkl 1 1 2, 2θ = 28.82°, 3.098 Å, rel. 29
hkl 3 1 3, 2θ = 60.26°, 1.536 Å, rel. 28
hkl 0 2 3, 2θ = 39.44°, 2.285 Å, rel. 27
hkl 3 3 0, 2θ = 59.61°, 1.551 Å, rel. 27
hkl 2 4 3, 2θ = 65.94°, 1.417 Å, rel. 27
hkl 2 2 3, 2θ = 51.29°, 1.781 Å, rel. 26



Ce5PuTc4: theoretical powder X-ray diffraction pattern (Cu Kα), based on DFT lattice parameters and positions (PBE).
Kinematic intensities with the Lorentz-polarization factor, no thermal factor.

Structural model:
Unit cell a=15.681 b=4.310 c=6.906 alpha=90.00 beta=104.10 gamma=90.00
Space group C2/m (No. 12)
Unique sites:
Ce1 0.000 0.000 0.000 x2
Ce2 0.176 0.500 0.063 x4
Ce3 0.180 0.500 0.503 x4
Pu1 0.000 0.000 0.500 x2
Tc1 0.020 0.500 0.726 x4
Tc2 0.164 0.000 0.772 x4

Peak list (10 most intense, 5 to 70 degrees two-theta, by intensity)
hkl 3 1 -2, 2θ = 35.13°, 2.555 Å, rel. 100
hkl 3 1 2, 2θ = 41.44°, 2.179 Å, rel. 61
hkl 6 0 0, 2θ = 35.41°, 2.535 Å, rel. 49
hkl 0 2 0, 2θ = 41.92°, 2.155 Å, rel. 36
hkl 3 1 0, 2θ = 27.16°, 3.284 Å, rel. 36
hkl 6 2 0, 2θ = 56.01°, 1.642 Å, rel. 26
hkl 9 1 -2, 2θ = 58.93°, 1.567 Å, rel. 18
hkl 2 0 -1, 2θ = 15.35°, 5.772 Å, rel. 17
hkl 1 1 2, 2θ = 35.56°, 2.525 Å, rel. 16
hkl 0 0 2, 2θ = 26.62°, 3.349 Å, rel. 14



CePu2Te: theoretical powder X-ray diffraction pattern (Cu Kα), based on DFT lattice parameters and positions (PBE).
Kinematic intensities with the Lorentz-polarization factor, no thermal factor.

Structural model:
Unit cell a=4.634 b=4.634 c=4.803 alpha=90.00 beta=90.00 gamma=90.00
Space group P4/mmm (No. 123)
Unique sites:
Ce1 0.000 0.000 0.000 x1
Pu1 0.000 0.500 0.500 x2
Te1 0.500 0.500 0.000 x1

Peak list (10 most intense, 5 to 70 degrees two-theta, by intensity)
hkl 1 1 1, 2θ = 33.09°, 2.707 Å, rel. 100
hkl 2 0 0, 2θ = 38.87°, 2.317 Å, rel. 32
hkl 3 1 1, 2θ = 66.74°, 1.402 Å, rel. 27
hkl 2 0 2, 2θ = 55.07°, 1.667 Å, rel. 24
hkl 0 0 2, 2θ = 37.45°, 2.402 Å, rel. 18
hkl 1 1 3, 2θ = 64.81°, 1.439 Å, rel. 15
hkl 2 2 2, 2θ = 69.45°, 1.353 Å, rel. 12
hkl 2 2 0, 2θ = 56.14°, 1.638 Å, rel. 11
hkl 0 0 1, 2θ = 18.47°, 4.803 Å, rel. 8
hkl 1 1 0, 2θ = 27.21°, 3.277 Å, rel. 6



CePu4Te5: theoretical powder X-ray diffraction pattern (Cu Kα), based on DFT lattice parameters and positions (PBE).
Kinematic intensities with the Lorentz-polarization factor, no thermal factor.

Structural model:
Unit cell a=4.430 b=6.297 c=22.324 alpha=90.00 beta=90.00 gamma=90.00
Space group Immm (No. 71)
Unique sites:
Ce1 0.000 0.000 0.000 x2
Pu1 0.000 0.000 0.202 x4
Pu2 0.000 0.000 0.401 x4
Te1 0.000 0.500 0.000 x2
Te2 0.000 0.500 0.199 x4
Te3 0.000 0.500 0.398 x4

Peak list (10 most intense, 5 to 70 degrees two-theta, by intensity)
hkl 1 0 5, 2θ = 28.37°, 3.146 Å, rel. 100
hkl 1 2 5, 2θ = 40.55°, 2.225 Å, rel. 52
hkl 1 4 5, 2θ = 66.44°, 1.407 Å, rel. 24
hkl 0 2 10, 2θ = 50.09°, 1.821 Å, rel. 14
hkl 2 2 0, 2θ = 50.37°, 1.812 Å, rel. 14
hkl 0 4 0, 2θ = 58.69°, 1.573 Å, rel. 13
hkl 0 0 10, 2θ = 40.40°, 2.232 Å, rel. 13
hkl 2 0 0, 2θ = 40.74°, 2.215 Å, rel. 13
hkl 0 1 5, 2θ = 24.44°, 3.642 Å, rel. 7
hkl 1 1 0, 2θ = 24.57°, 3.623 Å, rel. 7



CePuTh14: theoretical powder X-ray diffraction pattern (Cu Kα), based on DFT lattice parameters and positions (PBE).
Kinematic intensities with the Lorentz-polarization factor, no thermal factor.

Structural model:
Unit cell a=7.058 b=7.058 c=10.090 alpha=90.00 beta=90.00 gamma=90.00
Space group P4/mmm (No. 123)
Unique sites:
Ce1 0.000 0.000 0.000 x1
Pu1 0.500 0.500 0.000 x1
Th1 0.000 0.000 0.500 x1
Th2 0.000 0.500 0.000 x2
Th3 0.000 0.500 0.500 x2
Th4 0.250 0.250 0.248 x8
Th5 0.500 0.500 0.500 x1

Peak list (8 most intense, 5 to 70 degrees two-theta, by intensity)
hkl 2 0 2, 2θ = 30.92°, 2.892 Å, rel. 100
hkl 2 2 0, 2θ = 35.99°, 2.495 Å, rel. 34
hkl 4 2 2, 2θ = 61.57°, 1.506 Å, rel. 29
hkl 2 2 4, 2θ = 51.52°, 1.774 Å, rel. 25
hkl 0 0 4, 2θ = 35.59°, 2.522 Å, rel. 17
hkl 2 0 6, 2θ = 61.04°, 1.518 Å, rel. 15
hkl 4 0 4, 2θ = 64.44°, 1.446 Å, rel. 13
hkl 4 0 0, 2θ = 51.81°, 1.764 Å, rel. 12



Ce4PuTh10: theoretical powder X-ray diffraction pattern (Cu Kα), based on DFT lattice parameters and positions (PBE).
Kinematic intensities with the Lorentz-polarization factor, no thermal factor.

Structural model:
Unit cell a=11.659 b=11.659 c=6.952 alpha=90.00 beta=90.00 gamma=90.00
Space group I4/mmm (No. 139)
Unique sites:
Ce1 0.247 0.247 0.000 x8
Pu1 0.000 0.000 0.000 x2
Th1 0.000 0.214 0.262 x16
Th2 0.000 0.500 0.250 x4

Peak list (10 most intense, 5 to 70 degrees two-theta, by intensity)
hkl 4 0 0, 2θ = 30.67°, 2.915 Å, rel. 100
hkl 2 2 2, 2θ = 33.73°, 2.657 Å, rel. 81
hkl 3 1 2, 2θ = 35.49°, 2.529 Å, rel. 40
hkl 3 3 2, 2θ = 41.91°, 2.156 Å, rel. 38
hkl 4 4 0, 2θ = 43.93°, 2.061 Å, rel. 29
hkl 7 3 2, 2θ = 66.77°, 1.401 Å, rel. 28
hkl 4 0 4, 2θ = 62.19°, 1.493 Å, rel. 26
hkl 2 0 2, 2θ = 29.93°, 2.985 Å, rel. 22
hkl 0 0 2, 2θ = 25.63°, 3.476 Å, rel. 22
hkl 3 3 0, 2θ = 32.58°, 2.748 Å, rel. 21



Ce3Pu2Tl2: theoretical powder X-ray diffraction pattern (Cu Kα), based on DFT lattice parameters and positions (PBE).
Kinematic intensities with the Lorentz-polarization factor, no thermal factor.

Structural model:
Unit cell a=6.685 b=5.743 c=9.987 alpha=90.00 beta=98.72 gamma=90.00
Space group P2_1/c (No. 14)
Unique sites:
Ce1 0.000 0.000 0.000 x2
Ce2 0.307 0.034 0.691 x4
Pu1 0.415 0.642 0.581 x4
Tl1 0.195 0.518 0.849 x4

Peak list (10 most intense, 5 to 70 degrees two-theta, by intensity)
hkl 0 1 3, 2θ = 31.35°, 2.854 Å, rel. 100
hkl 2 0 2, 2θ = 34.89°, 2.571 Å, rel. 48
hkl 1 1 -3, 2θ = 32.48°, 2.757 Å, rel. 36
hkl 0 2 0, 2θ = 31.17°, 2.870 Å, rel. 26
hkl 1 0 -6, 2θ = 55.52°, 1.655 Å, rel. 26
hkl 1 1 -2, 2θ = 25.97°, 3.430 Å, rel. 21
hkl 0 2 3, 2θ = 41.73°, 2.164 Å, rel. 19
hkl 2 1 -3, 2θ = 38.88°, 2.316 Å, rel. 17
hkl 2 1 -2, 2θ = 34.06°, 2.632 Å, rel. 17
hkl 1 2 2, 2θ = 39.76°, 2.267 Å, rel. 16



Ce6PuTl: theoretical powder X-ray diffraction pattern (Cu Kα), based on DFT lattice parameters and positions (PBE).
Kinematic intensities with the Lorentz-polarization factor, no thermal factor.

Structural model:
Unit cell a=12.662 b=6.035 c=11.769 alpha=90.00 beta=100.81 gamma=90.00
Space group C2/c (No. 15)
Unique sites:
Ce1 0.081 0.086 0.396 x8
Ce2 0.139 0.425 0.035 x8
Ce3 0.221 0.079 0.682 x8
Pu1 0.250 0.250 0.500 x4
Tl1 0.000 0.404 0.750 x4

Peak list (10 most intense, 5 to 70 degrees two-theta, by intensity)
hkl 3 1 2, 2θ = 32.43°, 2.761 Å, rel. 100
hkl 2 2 -1, 2θ = 33.28°, 2.693 Å, rel. 94
hkl 1 1 -4, 2θ = 33.92°, 2.642 Å, rel. 91
hkl 1 3 3, 2θ = 52.46°, 1.744 Å, rel. 52
hkl 4 0 -2, 2θ = 29.97°, 2.982 Å, rel. 49
hkl 1 1 1, 2θ = 18.61°, 4.767 Å, rel. 40
hkl 5 1 1, 2θ = 41.33°, 2.184 Å, rel. 36
hkl 3 1 -5, 2θ = 43.74°, 2.069 Å, rel. 34
hkl 4 2 -2, 2θ = 42.63°, 2.121 Å, rel. 34
hkl 2 0 6, 2θ = 52.28°, 1.750 Å, rel. 26



CePuTl: theoretical powder X-ray diffraction pattern (Cu Kα), based on DFT lattice parameters and positions (PBE).
Kinematic intensities with the Lorentz-polarization factor, no thermal factor.

Structural model:
Unit cell a=3.373 b=5.922 c=16.804 alpha=90.00 beta=90.00 gamma=90.00
Space group Immm (No. 71)
Unique sites:
Ce1 0.000 0.000 0.159 x4
Pu1 0.000 0.248 0.000 x4
Tl1 0.000 0.000 0.352 x4

Peak list (10 most intense, 5 to 70 degrees two-theta, by intensity)
hkl 0 0 6, 2θ = 32.00°, 2.797 Å, rel. 100
hkl 0 2 4, 2θ = 37.15°, 2.420 Å, rel. 64
hkl 1 1 0, 2θ = 30.50°, 2.931 Å, rel. 53
hkl 0 0 2, 2θ = 10.53°, 8.402 Å, rel. 35
hkl 1 1 4, 2θ = 37.41°, 2.404 Å, rel. 34
hkl 1 0 3, 2θ = 30.94°, 2.890 Å, rel. 34
hkl 1 2 1, 2θ = 40.91°, 2.206 Å, rel. 31
hkl 2 0 6, 2θ = 64.52°, 1.444 Å, rel. 28
hkl 1 1 6, 2θ = 44.75°, 2.025 Å, rel. 26
hkl 2 2 4, 2θ = 67.71°, 1.384 Å, rel. 23